The following is a calculated powder diffractogram of PrEr2Be. It was derived from a DFT-relaxed cell (PBE, Alexandria), using λ = 1.5418 Å (Cu Kα).

Unit cell a=3.446 b=3.446 c=8.811 alpha=90.00 beta=90.00 gamma=90.00
Atoms (fractional coordinates):
Pr 0.000 0.000 0.000
Er 0.500 0.500 0.314
Er 0.500 0.500 0.686
Be 0.000 0.000 0.500

Principal peaks in the range 2θ from 10° to 90°, by angle:
hkl, two_theta, I_rel
1 0 1, 27.8, 77
0 0 3, 30.4, 43
1 0 2, 33.0, 100
1 1 0, 36.9, 60
1 1 3, 48.5, 47
1 0 5, 58.9, 26
2 0 3, 62.5, 22
2 1 2, 64.0, 30